For Na2TiS2O, a DFT-relaxed cell (GGA-PBE, the Materials Project) gives the simulated XRD peak list in this record (a wavelength of 1.5418 Å).

Structural model:
a b c (Å): 6.9299 13.7201 5.7948
angles (deg): 90.00 113.28 90.00
Positions (direct):
Na  0.1039  0.1395  0.0447
Na  0.1039  0.3605  0.5447
Na  0.2861  0.5578  0.1479
Na  0.2861  0.9422  0.6479
Na  0.7139  0.0578  0.3521
Na  0.7139  0.4422  0.8521
Na  0.8961  0.6395  0.4553
Na  0.8961  0.8605  0.9553
Ti  0.4786  0.1829  0.6626
Ti  0.4786  0.3171  0.1626
Ti  0.5214  0.6829  0.8374
Ti  0.5214  0.8171  0.3374
S  0.1396  0.1430  0.5588
S  0.1396  0.3570  0.0588
S  0.3084  0.5583  0.6478
S  0.3084  0.9417  0.1478
S  0.6916  0.0583  0.8522
S  0.6916  0.4417  0.3522
S  0.8604  0.6430  0.9412
S  0.8604  0.8570  0.4412
O  0.4799  0.7086  0.1314
O  0.4799  0.7914  0.6314
O  0.5201  0.2086  0.3686
O  0.5201  0.2914  0.8686

Largest 10 diffraction maxima, sorted by position, 2θ from 10° to 90°:
2θ 13.91, rel. 60.1; 2θ 21.13, rel. 31.5; 2θ 21.38, rel. 40.5; 2θ 25.68, rel. 28.4; 2θ 28.80, rel. 28.1; 2θ 30.87, rel. 100.0; 2θ 30.98, rel. 64.9; 2θ 34.33, rel. 29.4; 2θ 35.63, rel. 57.2; 2θ 47.60, rel. 33.3

---

For HfH6O3F4, a DFT-relaxed cell (GGA-PBE, the Materials Project) gives the simulated XRD peak list in this record (a wavelength of 1.5418 Å).

Structural model:
a b c (Å): 6.7497 10.7190 7.7072
angles (deg): 90.00 99.90 90.00
Positions (direct):
Hf  0.2421  0.0450  0.4596
Hf  0.2421  0.4550  0.9596
Hf  0.7579  0.5450  0.0404
Hf  0.7579  0.9550  0.5404
H  0.1034  0.6191  0.3903
H  0.1034  0.8809  0.8903
H  0.2325  0.2009  0.0683
H  0.2325  0.2991  0.5683
H  0.2610  0.6254  0.6662
H  0.2610  0.8746  0.1662
H  0.2618  0.1965  0.8656
H  0.2618  0.3035  0.3656
H  0.2640  0.7070  0.8472
H  0.2640  0.7930  0.3472
H  0.3250  0.5841  0.3840
H  0.3250  0.9159  0.8840
H  0.6750  0.0841  0.1160
H  0.6750  0.4159  0.6160
H  0.7360  0.2070  0.6528
H  0.7360  0.2930  0.1528
H  0.7382  0.6965  0.6344
H  0.7382  0.8035  0.1344
H  0.7390  0.1254  0.8338
H  0.7390  0.3746  0.3338
H  0.7675  0.7009  0.4317
H  0.7675  0.7991  0.9317
H  0.8966  0.1191  0.1097
H  0.8966  0.3809  0.6097
O  0.2440  0.6407  0.4425
O  0.2440  0.8593  0.9425
O  0.2561  0.6218  0.7952
O  0.2561  0.8782  0.2952
O  0.2721  0.2489  0.4717
O  0.2721  0.2511  0.9717
O  0.7279  0.7489  0.0283
O  0.7279  0.7511  0.5283
O  0.7439  0.1218  0.7048
O  0.7439  0.3782  0.2048
O  0.7560  0.1407  0.0575
O  0.7560  0.3593  0.5575
F  0.0672  0.5967  0.0574
F  0.0672  0.9033  0.5574
F  0.1542  0.1023  0.2017
F  0.1542  0.3977  0.7017
F  0.2617  0.0948  0.7156
F  0.2617  0.4052  0.2156
F  0.4720  0.5763  0.1075
F  0.4720  0.9237  0.6075
F  0.5280  0.0763  0.3925
F  0.5280  0.4237  0.8925
F  0.7383  0.5948  0.7844
F  0.7383  0.9052  0.2844
F  0.8458  0.6023  0.2983
F  0.8458  0.8977  0.7983
F  0.9328  0.0967  0.4426
F  0.9328  0.4033  0.9426

Largest 10 diffraction maxima, sorted by position, 2θ from 10° to 90°:
2θ 14.30, rel. 100.0; 2θ 16.54, rel. 26.7; 2θ 23.19, rel. 10.7; 2θ 23.43, rel. 11.3; 2θ 26.82, rel. 18.4; 2θ 27.59, rel. 10.1; 2θ 28.36, rel. 7.7; 2θ 28.64, rel. 13.5; 2θ 37.34, rel. 10.6; 2θ 44.41, rel. 9.5